# 1
This entry pairs a crystal structure of KSc2Mn with its calculated powder diffractogram. Radiation: Cu Kα. Structure: the PBE geometry in Alexandria.

Atomic structure:
```
data_KSc2Mn
_symmetry_space_group_name_H-M 'P 1 2/m 1'
_symmetry_Int_Tables_number 10
_cell_length_a 3.220
_cell_length_b 3.228
_cell_length_c 10.071
_cell_angle_alpha 90.00
_cell_angle_beta 90.15
_cell_angle_gamma 90.00
loop_
_symmetry_equiv_pos_as_xyz
'x,y,z'
'-x,-y,-z'
'-x,y,-z'
'x,-y,z'
loop_
_atom_site_label
_atom_site_fract_x
_atom_site_fract_y
_atom_site_fract_z
_atom_site_occupancy
K1 0.000 0.000 0.000 1
Sc1 0.499 0.500 0.349 1
Mn1 0.000 0.000 0.500 1
```

Principal peaks in the range 2θ = 15–90°, in order of rising 2θ:
(hkl)  2θ (°)  Rel. int.
0 0 2  17.61  49
0 1 2  32.97  100
1 0 2  33.06  34
0 1 3  38.70  41
1 1 0  39.53  86
1 1 -1  40.57  21
1 0 -4  45.69  66
1 0 4  45.81  22
1 2 2  67.55  20
2 1 -4  76.02  25


# 2
This entry pairs a crystal structure of SrHfO3 with its calculated powder diffractogram. Radiation: Cu Kα. Structure: the PBE geometry in Alexandria.

Atomic structure:
```
data_SrHfO3
_symmetry_space_group_name_H-M 'C m c e'
_symmetry_Int_Tables_number 64
_symmetry_space_group_name_Hall '-C 2ac 2'
_cell_length_a 11.635
_cell_length_b 9.594
_cell_length_c 5.548
_cell_angle_alpha 90.00
_cell_angle_beta 90.00
_cell_angle_gamma 90.00
loop_
_atom_site_label
_atom_site_fract_x
_atom_site_fract_y
_atom_site_fract_z
_atom_site_occupancy
Sr1 0.250 0.125 0.250 1
Hf1 0.000 0.162 0.623 1
O1 0.109 0.000 0.500 1
O2 0.109 0.207 0.918 1
```

Principal peaks in the range 2θ = 15–90°, in order of rising 2θ:
(hkl)  2θ (°)  Rel. int.
2 0 0  15.23  27
1 1 1  20.00  34
2 2 1  29.00  100
4 0 0  30.74  25
1 3 1  33.24  16
1 1 2  34.53  26
3 3 1  39.99  22
3 1 2  41.10  26
5 1 2  52.17  18
6 2 1  53.58  17


# 3
This entry pairs a crystal structure of TiNb3V with its calculated powder diffractogram. Radiation: Cu Kα. Structure: the PBE geometry in Alexandria.

Atomic structure:
```
data_TiNb3V
_symmetry_space_group_name_H-M 'P -1'
_symmetry_Int_Tables_number 2
_cell_length_a 2.829
_cell_length_b 4.524
_cell_length_c 13.387
_cell_angle_alpha 89.94
_cell_angle_beta 87.11
_cell_angle_gamma 89.80
loop_
_symmetry_equiv_pos_as_xyz
'x,y,z'
'-x,-y,-z'
loop_
_atom_site_label
_atom_site_fract_x
_atom_site_fract_y
_atom_site_fract_z
_atom_site_occupancy
Ti1 0.238 0.248 0.242 1
Nb1 0.153 0.751 0.552 1
Nb2 0.343 0.750 0.949 1
Nb3 0.421 0.252 0.660 1
V1 0.080 0.249 0.853 1
```

Principal peaks in the range 2θ = 15–90°, in order of rising 2θ:
(hkl)  2θ (°)  Rel. int.
1 0 -3  38.58  53
0 1 -5  39.13  100
1 1 2  39.33  50
1 -1 2  39.46  50
0 2 0  39.85  49
1 2 -3  56.59  16
-1 2 3  56.77  32
1 1 -8  70.00  17
2 1 -1  70.44  15
1 3 2  71.89  23